[1]
Diffraction record for MnAg2RhF6. The powder diffraction line list is theoretical, not measured: it uses a structure optimized by DFT (GGA+U) and Cu Ka.
Peak positions follow from Bragg's law for the DFT cell and can differ from measured ones.

Structural model:
```
MnAg2RhF6
1.0
4.9856 0.0000 0.0000
0.0370 5.5408 0.0000
1.3596 2.2720 5.2115
Mn Ag Rh F
1 2 1 6
Cartesian
0.0000 0.0000 0.0000
2.2955 5.0773 2.8254
4.0866 2.7355 2.3860
2.5113 2.7704 0.0000
1.0120 3.7914 0.9315
2.0775 1.9415 3.3663
1.6825 1.0758 0.5857
4.6997 6.7370 4.6258
4.3047 5.8713 1.8451
5.3701 4.0214 4.2800
```

Main lines, most intense first (2θ from 15° to 90°):
| index | Position (°2θ) | d [Å] | Rel. int. |
| --- | --- | --- | --- |
| 1 1 0 | 26.64 | 3.346 | 100 |
| -1 1 1 | 28.29 | 3.154 | 89 |
| 1 1 2 | 33.10 | 2.707 | 58 |
| 0 2 1 | 32.47 | 2.758 | 54 |
| 1 0 2 | 34.80 | 2.578 | 52 |
| 1 -1 1 | 31.13 | 2.873 | 50 |
| 0 0 2 | 34.42 | 2.606 | 49 |
| 2 2 2 | 50.34 | 1.813 | 31 |
| -1 1 3 | 56.30 | 1.634 | 30 |
| 1 0 0 | 18.38 | 4.827 | 29 |

***

[2]
Diffraction record for TiMnAgF6. The powder diffraction line list is theoretical, not measured: it uses a structure optimized by DFT (GGA+U) and Cu Ka.
Peak positions follow from Bragg's law for the DFT cell and can differ from measured ones.

Structural model:
```
TiMnAgF6
1.0
5.5689 0.0000 0.0000
-2.7844 4.8228 0.0000
0.0000 0.0000 10.2956
Ti Mn Ag F
2 2 2 12
Cartesian
0.0000 3.2152 2.5739
2.7844 1.6076 7.7217
0.0000 3.2152 7.7217
2.7844 1.6076 2.5739
0.0000 0.0000 0.0000
0.0000 0.0000 5.1478
-0.9382 1.8286 1.4849
-1.6699 3.0960 3.6629
0.9382 1.8286 3.6629
-0.7317 4.7210 1.4849
2.0527 0.1018 6.6327
1.1145 1.7268 8.8107
1.6699 3.0960 1.4849
0.7317 4.7210 3.6629
3.5161 0.1018 8.8107
1.8462 2.9942 6.6327
4.4544 1.7268 6.6327
3.7227 2.9942 8.8107
```

Main lines, most intense first (2θ from 15° to 90°):
| index | Position (°2θ) | d [Å] | Rel. int. |
| --- | --- | --- | --- |
| 1 0 2 | 25.31 | 3.520 | 100 |
| 1 1 4 | 48.14 | 1.890 | 41 |
| 1 1 0 | 32.15 | 2.784 | 24 |
| 2 1 2 | 53.32 | 1.718 | 24 |
| 2 0 2 | 41.35 | 2.184 | 23 |
| 3 0 0 | 57.31 | 1.608 | 15 |
| 2 -1 2 | 36.69 | 2.449 | 12 |
| 4 -1 2 | 73.09 | 1.295 | 9 |
| 1 0 6 | 56.96 | 1.617 | 8 |
| 4 -2 4 | 78.03 | 1.225 | 8 |

***

[3]
Diffraction record for SrAg2MoF8. The powder diffraction line list is theoretical, not measured: it uses a structure optimized by DFT (GGA+U) and Cu Ka.
Peak positions follow from Bragg's law for the DFT cell and can differ from measured ones.

Structural model:
```
SrAg2MoF8
1.0
4.4085 0.0000 0.0000
-0.4319 5.7839 0.0000
-0.0150 -0.1033 7.6536
Sr Ag Mo F
1 2 1 8
Cartesian
0.0000 0.0000 0.0000
1.9534 2.7467 5.7927
2.0082 2.9339 1.8609
-0.0075 -0.0517 3.8268
0.1205 4.5784 2.2061
0.1619 4.5793 5.3453
1.5520 1.1672 3.8770
2.0128 1.3807 0.0857
1.9487 4.2999 7.5679
2.4095 4.5135 3.7766
3.7997 1.1013 2.3083
3.8410 1.1022 5.4475
```

Main lines, most intense first (2θ from 15° to 90°):
| index | Position (°2θ) | d [Å] | Rel. int. |
| --- | --- | --- | --- |
| 1 -1 0 | 24.50 | 3.633 | 100 |
| 1 1 0 | 26.36 | 3.381 | 97 |
| 0 1 -2 | 27.78 | 3.211 | 73 |
| 0 1 2 | 28.13 | 3.172 | 69 |
| 1 0 -2 | 30.93 | 2.891 | 54 |
| 1 -2 2 | 42.98 | 2.105 | 43 |
| -1 2 2 | 43.40 | 2.085 | 40 |
| 2 0 0 | 41.06 | 2.198 | 32 |
| 2 -1 2 | 49.37 | 1.846 | 31 |
| 1 0 2 | 31.03 | 2.882 | 27 |

***

[4]
Diffraction record for ZnAgMoF6. The powder diffraction line list is theoretical, not measured: it uses a structure optimized by DFT (GGA+U) and Cu Ka.
Peak positions follow from Bragg's law for the DFT cell and can differ from measured ones.

Structural model:
```
ZnAgMoF6
1.0
5.6195 0.0000 0.0000
-2.8097 4.8666 0.0000
0.0000 0.0000 10.2005
Zn Ag Mo F
2 2 2 12
Cartesian
0.0000 3.2444 2.5501
2.8097 1.6222 7.6504
0.0000 0.0000 0.0000
0.0000 0.0000 5.1002
0.0000 3.2444 7.6504
2.8097 1.6222 2.5501
-1.0055 1.7773 1.4682
-1.7733 3.1072 3.6321
1.0055 1.7773 3.6321
-0.7678 4.8487 1.4682
2.0420 0.0179 6.5684
1.0365 1.7594 8.7323
1.7732 3.1072 1.4682
0.7678 4.8487 3.6321
3.5775 0.0179 8.7323
1.8043 3.0893 6.5684
4.5830 1.7594 6.5684
3.8152 3.0893 8.7323
```

Main lines, most intense first (2θ from 15° to 90°):
| index | Position (°2θ) | d [Å] | Rel. int. |
| --- | --- | --- | --- |
| 1 0 2 | 25.30 | 3.521 | 100 |
| 1 1 4 | 48.19 | 1.888 | 46 |
| 1 1 0 | 31.85 | 2.810 | 34 |
| 2 1 2 | 52.92 | 1.730 | 24 |
| 2 0 2 | 41.10 | 2.196 | 24 |
| 3 0 0 | 56.75 | 1.622 | 17 |
| 1 1 2 | 36.51 | 2.461 | 10 |
| 4 -1 2 | 72.43 | 1.305 | 10 |
| 4 -2 4 | 77.59 | 1.231 | 10 |
| 1 0 6 | 57.41 | 1.605 | 9 |